# 1
Diffraction record for BSbRh. The X-ray powder pattern is computed, not measured: it uses a structure optimized by DFT (GGA-PBE) and Cu Kα, 1.54184 Å.
Lines closer than 0.1° are merged.

Largest 6 diffraction maxima, low angle first, 2θ from 15° to 90°:
two_theta  d (Å)  I/Imax
26.35  3.382  100
31.47  2.843  100
34.57  2.595  97
38.71  2.326  40
39.82  2.264  47
47.39  1.918  38

a = 6.1029 Å, b = 4.9261 Å, c = 6.9657 Å
α = 90.00°, β = 91.56°, γ = 90.00°
Space group P2_1/c (No. 14)
Unique sites:
B1 0.0728 0.1872 0.3217 [4 per cell]
Sb1 0.3986 0.7075 0.3853 [4 per cell]
Rh1 0.1798 0.0654 0.6094 [4 per cell]

***

# 2
Diffraction record for Y2BSbRh6. The X-ray powder pattern is computed, not measured: it uses a structure optimized by DFT (GGA-PBE) and Cu Kα, 1.54184 Å.
Lines closer than 0.1° are merged.

Largest 6 diffraction maxima, low angle first, 2θ from 15° to 90°:
two_theta  d (Å)  I/Imax
19.75  4.495  20
34.57  2.595  100
40.13  2.247  94
43.90  2.062  24
58.04  1.589  57
69.34  1.355  31

a = 8.9890 Å, b = 8.9890 Å, c = 8.9890 Å
α = 90.00°, β = 90.00°, γ = 90.00°
Space group Fm-3m (No. 225)
Unique sites:
Y1 0.2500 0.2500 0.2500 [8 per cell]
B1 0.0000 0.0000 0.0000 [4 per cell]
Sb1 0.0000 0.0000 0.5000 [4 per cell]
Rh1 0.0000 0.0000 0.2269 [24 per cell]

***

# 3
Diffraction record for Sc3B7Rh. The X-ray powder pattern is computed, not measured: it uses a structure optimized by DFT (GGA-PBE) and Cu Kα, 1.54184 Å.
Lines closer than 0.1° are merged.

Largest 6 diffraction maxima, low angle first, 2θ from 15° to 90°:
two_theta  d (Å)  I/Imax
15.39  5.756  45
27.43  3.252  94
31.08  2.878  51
32.04  2.793  56
40.84  2.210  75
41.83  2.159  100

a = 3.3316 Å, b = 14.9315 Å, c = 9.0369 Å
α = 90.00°, β = 90.00°, γ = 90.00°
Space group Cmcm (No. 63)
Unique sites:
Sc1 0.0000 0.1079 0.0569 [8 per cell]
Sc2 0.0000 0.2494 0.7500 [4 per cell]
B1 0.0000 0.2720 0.0323 [8 per cell]
B2 0.0000 0.3657 0.1506 [8 per cell]
B3 0.0000 0.4437 0.7500 [4 per cell]
B4 0.0000 0.4837 0.0935 [8 per cell]
Rh1 0.0000 0.0510 0.7500 [4 per cell]

***

# 4
Diffraction record for ScB4Rh4. The X-ray powder pattern is computed, not measured: it uses a structure optimized by DFT (GGA-PBE) and Cu Kα, 1.54184 Å.
Lines closer than 0.1° are merged.

Largest 6 diffraction maxima, low angle first, 2θ from 15° to 90°:
two_theta  d (Å)  I/Imax
29.60  3.018  51
36.04  2.492  100
39.98  2.255  46
40.59  2.222  44
45.56  1.991  41
48.60  1.873  32

a = 5.2990 Å, b = 5.2990 Å, c = 7.3443 Å
α = 90.00°, β = 90.00°, γ = 90.00°
Space group P4_2/nmc (No. 137, origin choice 2)
Unique sites:
Sc1 0.2500 0.7500 0.2500 [2 per cell]
B1 0.0807 0.2500 0.1044 [8 per cell]
Rh1 0.0016 0.7500 0.6012 [8 per cell]

***

# 5
Diffraction record for Sc5BRh15. The X-ray powder pattern is computed, not measured: it uses a structure optimized by DFT (GGA-PBE) and Cu Kα, 1.54184 Å.
Lines closer than 0.1° are merged.

Largest 6 diffraction maxima, low angle first, 2θ from 15° to 90°:
two_theta  d (Å)  I/Imax
39.26  2.295  100
45.14  2.009  34
46.65  1.947  15
65.75  1.420  11
66.93  1.398  19
79.33  1.208  24

a = 4.0173 Å, b = 4.0173 Å, c = 19.4693 Å
α = 90.00°, β = 90.00°, γ = 90.00°
Space group P4/mmm (No. 123)
Unique sites:
Sc1 0.0000 0.0000 0.0000 [1 per cell]
Sc2 0.0000 0.0000 0.1985 [2 per cell]
Sc3 0.0000 0.0000 0.3954 [2 per cell]
B1 0.5000 0.5000 0.5000 [1 per cell]
Rh1 0.0000 0.5000 0.0984 [4 per cell]
Rh2 0.0000 0.5000 0.2961 [4 per cell]
Rh3 0.0000 0.5000 0.5000 [2 per cell]
Rh4 0.5000 0.5000 0.0000 [1 per cell]
Rh5 0.5000 0.5000 0.1960 [2 per cell]
Rh6 0.5000 0.5000 0.3922 [2 per cell]

***

# 6
Diffraction record for Sc3SiB2Rh9. The X-ray powder pattern is computed, not measured: it uses a structure optimized by DFT (GGA-PBE) and Cu Kα, 1.54184 Å.
Lines closer than 0.1° are merged.

Largest 6 diffraction maxima, low angle first, 2θ from 15° to 90°:
two_theta  d (Å)  I/Imax
36.80  2.442  33
36.94  2.433  100
42.88  2.109  76
62.16  1.493  23
62.35  1.489  24
74.67  1.271  34

a = 5.9572 Å, b = 5.9572 Å, c = 7.3261 Å
α = 90.00°, β = 90.00°, γ = 120.00°
Space group P-3m1 (No. 164)
Unique sites:
Sc1 0.0000 0.0000 0.0000 [1 per cell]
Sc2 0.3333 0.6667 0.6665 [2 per cell]
Si1 0.0000 0.0000 0.5000 [1 per cell]
B1 0.3333 0.6667 0.1511 [2 per cell]
Rh1 0.0000 0.5000 0.0000 [3 per cell]
Rh2 0.1744 0.3488 0.3204 [6 per cell]

***

# 7
Diffraction record for Sc2TlB2Rh5. The X-ray powder pattern is computed, not measured: it uses a structure optimized by DFT (GGA-PBE) and Cu Kα, 1.54184 Å.
Lines closer than 0.1° are merged.

Largest 6 diffraction maxima, low angle first, 2θ from 15° to 90°:
two_theta  d (Å)  I/Imax
18.64  4.760  33
35.30  2.542  31
39.02  2.308  80
41.36  2.183  100
42.46  2.129  57
76.94  1.239  29

a = 9.5206 Å, b = 9.5206 Å, c = 3.1692 Å
α = 90.00°, β = 90.00°, γ = 90.00°
Space group P4/mbm (No. 127)
Unique sites:
Sc1 0.1743 0.3257 0.0000 [4 per cell]
Tl1 0.0000 0.0000 0.0000 [2 per cell]
B1 0.1225 0.6225 0.0000 [4 per cell]
Rh1 0.0000 0.5000 0.5000 [2 per cell]
Rh2 0.0718 0.7738 0.5000 [8 per cell]

***

# 8
Diffraction record for BRh2Se. The X-ray powder pattern is computed, not measured: it uses a structure optimized by DFT (GGA-PBE) and Cu Kα, 1.54184 Å.
Lines closer than 0.1° are merged.

Largest 6 diffraction maxima, low angle first, 2θ from 15° to 90°:
two_theta  d (Å)  I/Imax
30.46  2.935  100
31.18  2.869  20
41.24  2.189  31
50.38  1.811  36
58.86  1.569  15
61.17  1.515  13

a = 5.0043 Å, b = 5.0043 Å, c = 10.5027 Å
α = 90.00°, β = 90.00°, γ = 90.00°
Space group I-42d (No. 122)
Unique sites:
B1 0.0000 0.0000 0.0000 [4 per cell]
Rh1 0.1792 0.2500 0.1250 [8 per cell]
Se1 0.0000 0.0000 0.5000 [4 per cell]

***

# 9
Diffraction record for Tb2SiB2Rh5. The X-ray powder pattern is computed, not measured: it uses a structure optimized by DFT (GGA-PBE) and Cu Kα, 1.54184 Å.
Lines closer than 0.1° are merged.

Largest 6 diffraction maxima, low angle first, 2θ from 15° to 90°:
two_theta  d (Å)  I/Imax
35.09  2.557  100
39.57  2.277  94
40.77  2.213  31
41.34  2.184  84
44.73  2.026  32
71.73  1.316  32

a = 9.3893 Å, b = 9.3893 Å, c = 3.2242 Å
α = 90.00°, β = 90.00°, γ = 90.00°
Space group P4/mbm (No. 127)
Unique sites:
Tb1 0.1760 0.3240 0.0000 [4 per cell]
Si1 0.0000 0.0000 0.0000 [2 per cell]
B1 0.1222 0.6222 0.0000 [4 per cell]
Rh1 0.0000 0.5000 0.5000 [2 per cell]
Rh2 0.0687 0.7847 0.5000 [8 per cell]

***

# 10
Diffraction record for Tb2SiBRh6. The X-ray powder pattern is computed, not measured: it uses a structure optimized by DFT (GGA-PBE) and Cu Kα, 1.54184 Å.
Lines closer than 0.1° are merged.

Largest 6 diffraction maxima, low angle first, 2θ from 15° to 90°:
two_theta  d (Å)  I/Imax
29.12  3.067  7
35.86  2.504  100
41.64  2.169  57
60.36  1.534  37
72.24  1.308  36
76.00  1.252  12

a = 8.6749 Å, b = 8.6749 Å, c = 8.6749 Å
α = 90.00°, β = 90.00°, γ = 90.00°
Space group Fm-3m (No. 225)
Unique sites:
Tb1 0.2500 0.2500 0.2500 [8 per cell]
Si1 0.0000 0.0000 0.0000 [4 per cell]
B1 0.0000 0.0000 0.5000 [4 per cell]
Rh1 0.0000 0.0000 0.2615 [24 per cell]

***

> Which formula does entry 4 have?

ScB4Rh4